Record 1
Calculated powder XRD pattern of RbInPbAu2 for CuKα, from a cell relaxed with PBE.
Intensities are scaled so that the largest is 100.

Structure:
```
5
Lattice="-2.471 2.471 6.008 2.471 -2.471 6.008 2.471 2.471 -6.008" Properties=species:S:1:pos:R:3 pbc="T T T"
Rb 0.000 0.000 0.000
In 0.000 2.471 3.004
Pb 2.471 0.000 3.004
Au 0.000 0.000 4.594
Au 0.000 0.000 7.422
```

Peak list (8 most intense, 2θ = 15–90°, low angle first)
d (Å)  2θ (°)  I_rel
4.570  19.42  67
3.112  28.69  62
3.020  29.58  100
2.471  36.36  95
2.278  39.56  91
2.161  41.80  37
1.747  52.37  34
1.386  67.58  39

=====

Record 2
Calculated powder XRD pattern of InSbPb2Au4 for CuKα, from a cell relaxed with PBE.
Intensities are scaled so that the largest is 100.

Structure:
```
8
Lattice="6.950 0.000 0.000 0.000 3.897 0.000 -2.125 0.000 7.379" Properties=species:S:1:pos:R:3 pbc="T T T"
In 0.000 0.000 0.000
Sb 3.475 1.949 0.000
Pb -1.063 1.949 3.690
Pb 2.412 0.000 3.690
Au 1.213 1.949 1.727
Au 0.162 0.000 5.660
Au 4.663 0.000 1.719
Au 3.612 1.949 5.652
```

Peak list (8 most intense, 2θ = 15–90°, low angle first)
d (Å)  2θ (°)  I_rel
2.912  30.71  100
2.192  41.18  15
2.133  42.38  27
1.991  45.56  23
1.949  46.61  11
1.619  56.87  12
1.339  70.30  12
1.267  74.93  11

=====

Record 3
Calculated powder XRD pattern of InSbPbAu2 for CuKα, from a cell relaxed with PBE.
Intensities are scaled so that the largest is 100.

Structure:
```
10
Lattice="7.531 -2.276 0.000 7.531 2.276 0.000 -4.033 0.000 7.586" Properties=species:S:1:pos:R:3 pbc="T T T"
In -0.094 0.000 1.780
In 11.124 0.000 5.805
Sb 4.866 0.000 1.479
Sb 6.164 0.000 6.107
Pb 1.044 0.000 5.191
Pb 9.986 0.000 2.394
Au 2.196 0.000 0.141
Au 3.999 0.000 4.155
Au 7.031 0.000 3.431
Au 8.834 0.000 7.444
```

Peak list (8 most intense, 2θ = 15–90°, low angle first)
d (Å)  2θ (°)  I_rel
3.523  25.28  81
3.419  26.06  53
2.653  33.78  49
2.630  34.08  98
2.461  36.50  56
2.413  37.27  100
2.276  39.59  82
1.671  54.95  40

=====

Record 4
Calculated powder XRD pattern of In2Pd6Au for CuKα, from a cell relaxed with PBE.
Intensities are scaled so that the largest is 100.

Structure:
```
9
Lattice="6.886 -2.804 0.000 6.886 2.804 0.000 -1.379 0.000 4.143" Properties=species:S:1:pos:R:3 pbc="T T T"
In 2.030 0.000 0.680
In 10.364 0.000 3.463
Pd 4.910 1.360 1.640
Pd 2.922 0.000 3.281
Pd 7.484 1.360 2.503
Pd 4.910 -1.360 1.640
Pd 9.472 0.000 0.862
Pd 7.484 -1.360 2.503
Au 6.886 0.000 0.000
```

Peak list (8 most intense, 2θ = 15–90°, low angle first)
d (Å)  2θ (°)  I_rel
3.441  25.89  28
2.370  37.96  52
2.322  38.79  100
2.243  40.21  77
2.183  41.36  47
2.128  42.49  23
1.720  53.25  23
1.351  69.59  20

=====

Record 5
Calculated powder XRD pattern of InPd5Au for CuKα, from a cell relaxed with PBE.
Intensities are scaled so that the largest is 100.

Structure:
```
7
Lattice="2.845 -3.901 0.000 2.845 3.901 0.000 0.000 0.000 5.614" Properties=species:S:1:pos:R:3 pbc="T T T"
In 0.000 0.000 0.000
Pd 1.422 1.951 1.426
Pd 1.422 1.951 4.189
Pd 1.422 -1.951 1.426
Pd 1.422 -1.951 4.189
Pd 2.845 0.000 0.000
Au 2.845 0.000 2.807
```

Peak list (8 most intense, 2θ = 15–90°, low angle first)
d (Å)  2θ (°)  I_rel
4.597  19.31  29
3.557  25.04  37
2.299  39.19  100
2.279  39.55  97
1.998  45.39  65
1.951  46.56  30
1.396  67.05  40
1.207  79.42  26

=====

Record 6
Calculated powder XRD pattern of In6Pd5Au for CuKα, from a cell relaxed with PBE.
Intensities are scaled so that the largest is 100.

Structure:
```
12
Lattice="4.713 0.000 0.000 0.000 6.573 0.000 -2.231 0.000 7.143" Properties=species:S:1:pos:R:3 pbc="T T T"
In 0.000 1.631 0.000
In 0.000 4.942 0.000
In 0.071 1.612 4.710
In 0.071 4.960 4.710
In 2.410 1.612 2.433
In 2.410 4.960 2.433
Pd 0.053 0.000 2.291
Pd 0.062 3.286 2.414
Pd 2.357 0.000 0.000
Pd 2.420 3.286 4.729
Pd 2.429 0.000 4.852
Au 2.357 3.286 0.000
```

Peak list (8 most intense, 2θ = 15–90°, low angle first)
d (Å)  2θ (°)  I_rel
2.381  37.78  34
2.356  38.20  100
2.336  38.54  65
1.690  54.29  12
1.374  68.27  11
1.364  68.81  11
1.362  68.96  11
1.352  69.50  22

=====

Record 7
Calculated powder XRD pattern of In4PdAu7 for CuKα, from a cell relaxed with PBE.
Intensities are scaled so that the largest is 100.

Structure:
```
12
Lattice="5.647 0.000 0.000 -0.762 6.911 0.000 -1.075 -3.286 6.299" Properties=species:S:1:pos:R:3 pbc="T T T"
In 0.222 1.897 0.679
In 0.374 4.121 3.867
In 3.436 -0.495 2.431
In 3.587 1.729 5.620
Pd -0.919 1.813 3.149
Au 0.639 -0.767 1.866
Au 0.223 -0.190 4.714
Au 0.772 2.164 6.149
Au 1.905 1.813 3.149
Au 3.037 1.461 0.150
Au 3.587 3.816 1.584
Au 3.170 4.392 4.432
```

Peak list (8 most intense, 2θ = 15–90°, low angle first)
d (Å)  2θ (°)  I_rel
4.005  22.19  30
2.738  32.70  31
2.504  35.87  34
2.473  36.32  38
2.359  38.15  51
2.347  38.36  62
2.335  38.55  66
2.257  39.95  100

=====

Record 8
Calculated powder XRD pattern of InPd6Au12 for CuKα, from a cell relaxed with PBE.
Intensities are scaled so that the largest is 100.

Structure:
```
19
Lattice="5.682 3.280 3.069 -5.682 3.280 3.069 0.000 -6.561 3.069" Properties=species:S:1:pos:R:3 pbc="T T T"
In 0.000 0.000 0.000
Pd -0.005 -1.652 2.273
Pd -1.428 0.830 2.273
Pd 1.433 0.822 2.273
Pd -1.433 -0.822 6.933
Pd 1.428 -0.830 6.933
Pd 0.005 1.652 6.933
Au -4.183 0.690 3.071
Au -2.206 -1.265 4.168
Au -2.689 -3.278 6.135
Au 1.494 -3.968 3.071
Au -0.008 -2.543 5.039
Au -2.198 1.278 5.039
Au 2.198 -1.278 4.168
Au 0.008 2.543 4.168
Au -1.494 3.968 6.135
Au 2.689 3.278 3.071
Au 2.206 1.265 5.039
Au 4.183 -0.690 6.135
```

Peak list (8 most intense, 2θ = 15–90°, low angle first)
d (Å)  2θ (°)  I_rel
2.893  30.91  32
2.377  37.85  92
2.348  38.34  40
2.241  40.24  100
2.193  41.17  35
2.170  41.62  24
2.085  43.40  24
1.390  67.38  23

=====

Record 9
Calculated powder XRD pattern of InPd4Au5 for CuKα, from a cell relaxed with PBE.
Intensities are scaled so that the largest is 100.

Structure:
```
10
Lattice="4.859 0.000 0.000 1.228 5.634 0.000 1.788 1.249 6.256" Properties=species:S:1:pos:R:3 pbc="T T T"
In 0.000 0.000 0.000
Pd 2.393 2.422 3.785
Pd 2.416 0.811 1.232
Pd 5.458 6.072 5.024
Pd 5.481 4.461 2.472
Au 0.614 2.817 0.000
Au 3.040 5.257 3.711
Au 3.054 3.618 1.285
Au 4.821 3.265 4.972
Au 4.835 1.626 2.545
```

Peak list (8 most intense, 2θ = 15–90°, low angle first)
d (Å)  2θ (°)  I_rel
2.369  37.97  52
2.362  38.10  51
2.350  38.30  100
2.125  42.55  37
2.090  43.30  36
1.928  47.13  28
1.492  62.22  12
1.251  76.07  20

=====

Record 10
Calculated powder XRD pattern of In5Pd6Au for CuKα, from a cell relaxed with PBE.
Intensities are scaled so that the largest is 100.

Structure:
```
12
Lattice="-2.269 3.423 6.839 2.269 -3.423 6.839 2.269 3.423 -6.839" Properties=species:S:1:pos:R:3 pbc="T T T"
In 0.000 0.000 0.000
In 2.269 0.000 2.327
In 0.000 0.000 4.722
In 0.000 0.000 8.957
In 0.000 3.423 4.512
Pd 2.269 -1.774 4.491
Pd 2.269 1.588 0.000
Pd 0.000 1.650 2.348
Pd 2.269 1.774 4.491
Pd 0.000 1.835 6.839
Pd 0.000 5.197 2.348
Au 0.000 3.423 0.000
```

Peak list (8 most intense, 2θ = 15–90°, low angle first)
d (Å)  2θ (°)  I_rel
2.344  38.40  100
2.280  39.53  22
2.269  39.73  23
1.712  53.54  9
1.608  57.29  15
1.328  70.96  14
1.324  71.23  16
1.172  82.26  10

=====

Record 11
Calculated powder XRD pattern of In3Pd12Au for CuKα, from a cell relaxed with PBE.
Intensities are scaled so that the largest is 100.

Structure:
```
16
Lattice="4.035 0.000 0.000 0.000 4.035 0.000 0.000 0.000 16.047" Properties=species:S:1:pos:R:3 pbc="T T T"
In 0.000 0.000 0.000
In 0.000 0.000 4.028
In 0.000 0.000 12.019
Pd 0.000 2.017 2.024
Pd 0.000 2.017 6.033
Pd 0.000 2.017 10.014
Pd 0.000 2.017 14.024
Pd 2.017 0.000 2.024
Pd 2.017 0.000 6.033
Pd 2.017 0.000 10.014
Pd 2.017 0.000 14.024
Pd 2.017 2.017 0.000
Pd 2.017 2.017 4.040
Pd 2.017 2.017 8.024
Pd 2.017 2.017 12.007
Au 0.000 0.000 8.024
```

Peak list (8 most intense, 2θ = 15–90°, low angle first)
d (Å)  2θ (°)  I_rel
2.325  38.73  100
2.017  44.94  33
2.006  45.20  16
1.426  65.43  10
1.422  65.64  21
1.216  78.70  24
1.211  79.09  12
1.162  83.08  11

=====

Record 12
Calculated powder XRD pattern of In2Pd2Au5 for CuKα, from a cell relaxed with PBE.
Intensities are scaled so that the largest is 100.

Structure:
```
9
Lattice="8.514 0.000 0.000 0.000 2.394 4.057 0.000 -2.394 4.057" Properties=species:S:1:pos:R:3 pbc="T T T"
In 0.000 0.000 0.000
In 4.257 0.000 2.728
Pd 2.830 0.000 5.393
Pd 5.684 0.000 5.393
Au 0.000 0.000 5.385
Au 1.461 0.000 2.696
Au 2.834 0.000 0.013
Au 5.680 0.000 0.013
Au 7.053 0.000 2.696
```

Peak list (8 most intense, 2θ = 15–90°, low angle first)
d (Å)  2θ (°)  I_rel
2.394  37.57  52
2.355  38.22  100
2.338  38.51  89
2.326  38.72  46
1.668  55.06  33
1.374  68.23  18
1.352  69.54  26
1.215  78.73  25

=====

Record 13
Calculated powder XRD pattern of In2PdAu4 for CuKα, from a cell relaxed with PBE.
Intensities are scaled so that the largest is 100.

Structure:
```
7
Lattice="3.885 -4.343 0.000 3.885 4.343 0.000 0.000 0.000 4.145" Properties=species:S:1:pos:R:3 pbc="T T T"
In 1.844 0.000 0.000
In 5.925 0.000 0.000
Pd 3.885 0.000 2.072
Au 1.942 2.171 2.072
Au 3.885 2.172 0.000
Au 1.942 -2.171 2.072
Au 3.885 -2.172 0.000
```

Peak list (8 most intense, 2θ = 15–90°, low angle first)
d (Å)  2θ (°)  I_rel
4.343  20.45  18
2.834  31.56  13
2.374  37.91  100
2.171  41.59  19
2.072  43.68  17
1.942  46.77  14
1.289  73.45  15
1.247  76.38  13